For Na5ErMo4O16, a DFT-relaxed cell (PBE+U, Alexandria) gives the calculated powder X-ray diffraction pattern in this record (λ = 1.5418 Å (Cu Kα)).
Intensities are scaled so that the largest is 100.

Atomic structure:
```
data_Na5ErMo4O16
_space_group_name_H-M_alt 'I 41/a'
_space_group_IT_number 88
_cell_length_a 11.5403
_cell_length_b 11.5403
_cell_length_c 11.5163
_cell_angle_alpha 90.00
_cell_angle_beta 90.00
_cell_angle_gamma 90.00
loop_
_space_group_symop_operation_xyz
'x,y,z'
'-x,-y,-z'
'-y+3/4,x+1/4,z+1/4'
'y+3/4,-x+1/4,-z+1/4'
'-x+1/2,-y,z+1/2'
'x+1/2,y,-z+1/2'
'y+3/4,-x+3/4,z+3/4'
'-y+3/4,x+3/4,-z+3/4'
'x+1/2,y+1/2,z+1/2'
'-x+1/2,-y+1/2,-z+1/2'
'-y+1/4,x+3/4,z+3/4'
'y+1/4,-x+3/4,-z+3/4'
'-x,-y+1/2,z'
'x,y+1/2,-z'
'y+1/4,-x+1/4,z+1/4'
'-y+1/4,x+1/4,-z+1/4'
loop_
_atom_site_label
_atom_site_type_symbol
_atom_site_fract_x
_atom_site_fract_y
_atom_site_fract_z
_atom_site_occupancy
Na1 Na 0.0000 0.2500 0.1250 1
Na2 Na 0.1202 0.4540 0.8437 1
Er1 Er 0.0000 0.2500 0.6250 1
Mo1 Mo 0.0927 0.4316 0.3630 1
O1 O 0.0303 0.1022 0.2736 1
O2 O 0.0611 0.1402 0.7875 1
O3 O 0.0818 0.0722 0.5634 1
O4 O 0.1777 0.0337 0.9786 1
```

Principal peaks in the range 10 to 90 degrees two-theta, most intense first:
hkl 3 1 2, 2θ = 28.97°, d = 3.082 Å, rel. 100; hkl 1 0 1, 2θ = 10.85°, d = 8.152 Å, rel. 46; hkl 3 0 1, 2θ = 24.41°, d = 3.647 Å, rel. 26; hkl 2 1 1, 2θ = 18.84°, d = 4.710 Å, rel. 25; hkl 2 4 4, 2θ = 47.30°, d = 1.922 Å, rel. 23; hkl 1 7 2, 2θ = 58.81°, d = 1.570 Å, rel. 19; hkl 2 4 0, 2θ = 34.77°, d = 2.580 Å, rel. 15; hkl 3 1 6, 2θ = 53.96°, d = 1.699 Å, rel. 15; hkl 6 1 1, 2θ = 48.67°, d = 1.871 Å, rel. 12; hkl 3 4 1, 2θ = 39.86°, d = 2.261 Å, rel. 10